Li7Mn4CoO12: simulated XRD peak list (Cu Kα (λ = 1.5418 Å)), based on a crystal structure in the Materials Project, relaxed with PBE+U.

Main lines, sorted by position (15 to 90 degrees two-theta):
two_theta	Rel. int.
18.35	100.0
21.06	9.5
34.73	16.4
36.34	25.2
41.82	32.1
44.22	53.6
47.32	9.0
58.26	9.6
62.49	31.4
64.89	11.0

```
data_Li7Mn4CoO12
_chemical_formula_sum 'Li7 Mn4 Co1 O12'
_symmetry_space_group_name_H-M 'P 1 2 1'
_symmetry_Int_Tables_number 3
_symmetry_space_group_name_Hall 'P 2y'
_cell_length_a 5.211
_cell_length_b 8.627
_cell_length_c 5.215
_cell_angle_alpha 90.00
_cell_angle_beta 111.93
_cell_angle_gamma 90.00
loop_
_atom_site_label
_atom_site_type_symbol
_atom_site_fract_x
_atom_site_fract_y
_atom_site_fract_z
Li1 Li 0.000 0.000 0.000
Li2 Li 0.000 0.158 0.500
Li3 Li 0.000 0.321 0.000
Li4 Li 0.000 0.490 0.500
Li5 Li 0.000 0.659 0.000
Li6 Li 0.000 0.832 0.500
Li7 Li 0.500 0.157 0.000
Mn1 Mn 0.500 0.324 0.500
Mn2 Mn 0.500 0.491 0.000
Mn3 Mn 0.500 0.660 0.500
Mn4 Mn 0.500 0.835 0.000
Co1 Co 0.500 0.000 0.500
O1 O 0.263 0.981 0.762
O2 O 0.265 0.493 0.276
O3 O 0.266 0.663 0.777
O4 O 0.270 0.162 0.282
O5 O 0.285 0.334 0.741
O6 O 0.290 0.830 0.251
```